Starting from DFT lattice parameters and positions (GGA+U), the XRD peak list of LiFeP2O7 was simulated for Cu Ka.

The 8 most intense peaks (2θ from 15° to 90°), in order of falling intensity:
h k l  d [Å]  I_rel
1 1 -1  5.119  100.0
0 2 2  2.998  83.3
2 1 0  3.102  41.2
1 1 1  4.024  32.0
0 1 2  3.920  29.0
2 1 -2  3.066  24.1
1 1 -3  2.963  21.0
2 0 0  3.361  16.5

Atomic structure:
Lattice parameters (Å, degrees): 7.193 8.055 9.604 90.00 110.85 90.00
Element x y z (fractional)
Li1 0.192 0.022 0.225
Li2 0.192 0.478 0.725
Li3 0.808 0.522 0.275
Li4 0.808 0.978 0.775
Fe1 0.241 0.005 0.749
Fe2 0.241 0.495 0.249
Fe3 0.759 0.505 0.751
Fe4 0.759 0.995 0.251
P1 0.170 0.711 0.950
P2 0.170 0.789 0.450
P3 0.415 0.239 0.045
P4 0.415 0.261 0.545
P5 0.585 0.739 0.455
P6 0.585 0.761 0.955
P7 0.830 0.211 0.550
P8 0.830 0.289 0.050
O1 0.043 0.578 0.845
O2 0.043 0.922 0.345
O3 0.117 0.611 0.390
O4 0.117 0.889 0.890
O5 0.187 0.701 0.113
O6 0.187 0.799 0.613
O7 0.299 0.137 0.600
O8 0.299 0.363 0.100
O9 0.308 0.208 0.879
O10 0.308 0.292 0.379
O11 0.381 0.662 0.935
O12 0.381 0.838 0.435
O13 0.472 0.081 0.142
O14 0.472 0.419 0.642
O15 0.528 0.581 0.358
O16 0.528 0.919 0.858
O17 0.619 0.162 0.565
O18 0.619 0.338 0.065
O19 0.692 0.708 0.621
O20 0.692 0.792 0.121
O21 0.701 0.637 0.900
O22 0.701 0.863 0.400
O23 0.813 0.201 0.387
O24 0.813 0.299 0.887
O25 0.883 0.111 0.110
O26 0.883 0.389 0.610
O27 0.957 0.078 0.655
O28 0.957 0.422 0.155